Starting from a GGA-PBE-relaxed structure, the PXRD pattern of DyHo8Tm6 was simulated for Cu Kα.
Intensities are scaled so that the largest is 100.

Top 10 peaks for 2θ from 10° to 90°, in order of rising 2θ:
30.1°, I = 41
31.9°, I = 33
32.4°, I = 52
32.5°, I = 50
33.1°, I = 37
33.3°, I = 100
51.8°, I = 17
55.4°, I = 16
59.2°, I = 19
62.5°, I = 47

```
15
Lattice="14.4513 -1.7638 0.0000 14.4513 1.7638 0.0000 -2.8551 0.0000 9.0143" Properties=species:S:1:pos:R:3 pbc="T T T"
Dy 0.0000 0.0000 0.0000
Ho 2.4264 0.0000 2.5090
Ho 3.1230 0.0000 8.1576
Ho 7.6933 0.0000 3.8670
Ho 12.2234 0.0000 6.0385
Ho 13.8240 0.0000 2.9758
Ho 18.3541 0.0000 5.1473
Ho 22.9245 0.0000 0.8567
Ho 23.6210 0.0000 6.5053
Tm 0.8252 0.0000 5.5985
Tm 6.2603 0.0000 6.9699
Tm 11.4505 0.0000 0.4686
Tm 14.5969 0.0000 8.5457
Tm 19.7871 0.0000 2.0444
Tm 25.2222 0.0000 3.4158
```

Starting from a GGA-PBE-relaxed structure, the PXRD pattern of Cs12K7Pb was simulated for Cu Kα.
Intensities are scaled so that the largest is 100.

Top 10 peaks for 2θ from 10° to 90°, in order of rising 2θ:
11.7°, I = 47
21.2°, I = 100
21.8°, I = 56
23.4°, I = 34
23.5°, I = 89
24.1°, I = 43
27.7°, I = 34
31.3°, I = 27
35.7°, I = 41
39.4°, I = 32

```
20
Lattice="10.0704 5.8142 5.0426 -10.0704 5.8142 5.0426 0.0000 -11.6283 5.0426" Properties=species:S:1:pos:R:3 pbc="T T T"
Cs -2.5644 -7.0426 5.1825
Cs -2.4181 1.2064 4.1236
Cs 0.1643 -2.6973 4.1236
Cs -7.3812 -1.3004 9.9452
Cs -4.8168 5.7421 5.1825
Cs 2.2538 1.4909 4.1236
Cs -2.2538 -1.4909 11.0042
Cs 4.8168 -5.7421 9.9452
Cs 7.3812 1.3004 5.1825
Cs -0.1643 2.6973 11.0042
Cs 2.4181 -1.2064 11.0042
Cs 2.5644 7.0426 9.9452
K 0.0000 0.0000 0.0000
K -3.6470 -2.2830 6.7363
K -3.8006 2.0169 8.3915
K 0.1536 -4.2999 8.3915
K -0.1536 4.2999 6.7363
K 3.8006 -2.0169 6.7363
K 3.6470 2.2830 8.3915
Pb 0.0000 0.0000 7.5639
```

Starting from a GGA-PBE-relaxed structure, the PXRD pattern of Pr3SmTh4Se8 was simulated for Cu Kα.
Intensities are scaled so that the largest is 100.

Top 10 peaks for 2θ from 10° to 90°, in order of rising 2θ:
25.4°, I = 8
26.0°, I = 22
29.9°, I = 100
42.5°, I = 39
43.2°, I = 37
53.5°, I = 20
62.2°, I = 13
70.0°, I = 18
71.1°, I = 17
78.8°, I = 13

```
16
Lattice="4.1845 2.4159 7.0088 -4.1845 2.4159 7.0088 0.0000 -4.8318 7.0088" Properties=species:S:1:pos:R:3 pbc="T T T"
Pr -2.0922 -1.2080 7.0088
Pr -2.0922 1.2080 14.0176
Pr 0.0000 2.4159 7.0088
Sm 0.0000 0.0000 0.0000
Th -4.1845 0.0000 10.5132
Th -2.0922 1.2080 3.5044
Th 2.0922 1.2080 3.5044
Th 0.0000 0.0000 10.5132
Se -2.1134 -1.2202 12.2730
Se 0.0000 -2.4404 8.7534
Se -2.1134 1.2202 8.7534
Se 0.0000 0.0000 5.2468
Se 0.0000 0.0000 15.7796
Se 2.1134 -1.2202 12.2731
Se 0.0000 2.4404 12.2731
Se 2.1134 1.2202 8.7534
```

> What is the formula in the first record?

DyHo8Tm6